# Sm2Ho2BCl5
Computed powder diffractogram, Cu Kα (weighted mean of Kα1 and Kα2). Input: a cell relaxed with PBE.
Peak positions follow from Bragg's law for the DFT cell and can differ from measured ones.

Crystal structure
Lattice parameters (Å, degrees): 8.9263 8.9263 7.8325 103.84 103.84 24.86
Positions (direct):
Sm 0.1499 0.1499 0.0885
Sm 0.8501 0.8501 0.9115
Ho 0.4992 0.4992 0.2164
Ho 0.5008 0.5008 0.7836
B 0.0000 0.0000 0.0000
Cl 0.0000 0.0000 0.5000
Cl 0.3327 0.3327 0.1669
Cl 0.3389 0.3389 0.6492
Cl 0.6611 0.6611 0.3508
Cl 0.6673 0.6673 0.8331

Largest 12 diffraction maxima, most intense first, 2θ from 5° to 70°:
32.7°, 2.742 Å, rel. 100; 11.7°, 7.594 Å, rel. 76; 28.1°, 3.177 Å, rel. 61; 31.8°, 2.817 Å, rel. 51; 10.5°, 8.452 Å, rel. 50; 46.6°, 1.951 Å, rel. 33; 45.8°, 1.980 Å, rel. 30; 32.0°, 2.795 Å, rel. 27; 35.4°, 2.536 Å, rel. 25; 29.0°, 3.084 Å, rel. 20; 47.3°, 1.921 Å, rel. 19; 27.5°, 3.247 Å, rel. 18


# Gd3Mg2InIr2Pt
Computed powder diffractogram, Cu Kα (weighted mean of Kα1 and Kα2). Input: a cell relaxed with PBE.
Peak positions follow from Bragg's law for the DFT cell and can differ from measured ones.

Crystal structure
Lattice parameters (Å, degrees): 4.0346 7.4155 7.4155 119.55 90.00 90.00
Positions (direct):
Gd 0.0000 0.0000 0.0000
Gd 0.0000 0.4140 0.8258
Gd 0.0000 0.8258 0.4140
Mg 0.5000 0.1650 0.4125
Mg 0.5000 0.4125 0.1650
In 0.5000 0.6656 0.6656
Ir 0.5000 0.0862 0.7491
Ir 0.5000 0.7491 0.0862
Pt 0.0000 0.4051 0.4051

Largest 12 diffraction maxima, most intense first, 2θ from 5° to 70°:
35.6°, 2.519 Å, rel. 100; 32.8°, 2.730 Å, rel. 66; 43.5°, 2.080 Å, rel. 32; 24.0°, 3.708 Å, rel. 31; 42.0°, 2.150 Å, rel. 30; 44.9°, 2.017 Å, rel. 30; 26.1°, 3.420 Å, rel. 28; 35.8°, 2.509 Å, rel. 27; 63.2°, 1.471 Å, rel. 18; 42.3°, 2.136 Å, rel. 18; 32.7°, 2.740 Å, rel. 16; 67.8°, 1.383 Å, rel. 14


# Co3C2
Computed powder diffractogram, Cu Kα (weighted mean of Kα1 and Kα2). Input: a cell relaxed with PBE.
Peak positions follow from Bragg's law for the DFT cell and can differ from measured ones.

Crystal structure
Lattice parameters (Å, degrees): 4.9835 4.9835 4.9835 59.73 59.73 59.73
Positions (direct):
Co 0.0576 0.7500 0.4424
Co 0.2500 0.5576 0.9424
Co 0.4424 0.0576 0.7500
Co 0.5576 0.9424 0.2500
Co 0.7500 0.4424 0.0576
Co 0.9424 0.2500 0.5576
C 0.1463 0.1463 0.1463
C 0.3537 0.3537 0.3537
C 0.6463 0.6463 0.6463
C 0.8537 0.8537 0.8537

Largest 10 diffraction maxima, most intense first, 2θ from 5° to 70°:
42.7°, 2.120 Å, rel. 100; 65.1°, 1.433 Å, rel. 19; 44.4°, 2.039 Å, rel. 18; 36.2°, 2.482 Å, rel. 16; 58.6°, 1.575 Å, rel. 15; 25.3°, 3.517 Å, rel. 5; 57.2°, 1.610 Å, rel. 3; 52.0°, 1.758 Å, rel. 2; 69.5°, 1.353 Å, rel. 2; 44.7°, 2.028 Å, rel. 1